# 1
Simulated powder diffractogram of Ce2DySb2 for λ = 1.5418 Å (Cu Kα), from a DFT-relaxed cell (PBE, Alexandria).
No peak broadening, texture or thermal motion is included.

Top 10 peaks for 2θ = 15–90°, by angle:
- d 3.308, 26.95°, I = 569, hkl 0 2 3
- d 2.926, 30.55°, I = 873, hkl 1 3 0
- d 2.899, 30.84°, I = 1000, hkl 1 1 3
- d 2.844, 31.45°, I = 630, hkl 1 3 1
- d 2.820, 31.73°, I = 294, hkl 0 4 1
- d 2.634, 34.04°, I = 259, hkl 1 3 2
- d 2.448, 36.72°, I = 520, hkl 1 1 4
- d 2.239, 40.29°, I = 468, hkl 2 0 0
- d 2.092, 43.25°, I = 208, hkl 0 4 4
- d 1.855, 49.12°, I = 308, hkl 2 2 3

Structure:
a b c (Å): 4.4773 11.6001 12.0823
angles (deg): 90.00 90.00 90.00
Space group Cmc2_1 (No. 36)
Inequivalent atoms, fractional coordinates:
Ce: 0.0000 0.0558 0.0000 x4
Ce: 0.0000 0.3302 0.2148 x4
Dy: 0.0000 0.3543 0.8762 x4
Sb: 0.0000 0.0237 0.2522 x4
Sb: 0.0000 0.2441 0.5282 x4

---

# 2
Simulated powder diffractogram of Ce5DySb5 for λ = 1.5418 Å (Cu Kα), from a DFT-relaxed cell (PBE, Alexandria).
No peak broadening, texture or thermal motion is included.

Top 10 peaks for 2θ = 15–90°, by angle:
- d 3.149, 28.34°, I = 1000, hkl 0 2 0
- d 3.135, 28.47°, I = 494, hkl 2 0 2
- d 2.224, 40.56°, I = 949, hkl 2 2 2
- d 2.219, 40.66°, I = 188, hkl 6 0 0
- d 1.815, 50.26°, I = 406, hkl 6 2 0
- d 1.574, 58.64°, I = 127, hkl 0 4 0
- d 1.408, 66.40°, I = 306, hkl 2 4 2
- d 1.403, 66.67°, I = 129, hkl 4 2 4
- d 1.285, 73.73°, I = 193, hkl 6 4 0
- d 1.283, 73.87°, I = 127, hkl 0 2 6

Structure:
a b c (Å): 14.0516 6.3010 8.8935
angles (deg): 90.00 108.67 90.00
Space group C2/m (No. 12)
Inequivalent atoms, fractional coordinates:
Ce: 0.0000 0.0000 0.0000 x2
Ce: 0.1646 0.5000 0.3310 x4
Ce: 0.1688 0.5000 0.8330 x4
Dy: 0.0000 0.0000 0.5000 x2
Sb: 0.0000 0.5000 0.5000 x2
Sb: 0.1652 0.0000 0.8306 x4
Sb: 0.1665 0.0000 0.3366 x4